1.
Structure and simulated powder diffractogram of Ti3Sb3Pd (a structure optimized by DFT (PBE); Cu Kα X-rays).
Kinematic intensities with the Lorentz-polarization factor, no thermal factor.

Main lines, sorted by position (10 to 90 degrees two-theta):
| two_theta | I/Imax |
| --- | --- |
| 26.9 | 66 |
| 28.2 | 60 |
| 31.6 | 66 |
| 34.7 | 60 |
| 37.1 | 64 |
| 39.2 | 96 |
| 39.8 | 100 |
| 43.7 | 78 |

Structure:
Lattice parameters (Å, degrees): 11.0562 4.1451 12.4047 90.00 90.00 90.00
Positions (direct):
Ti 0.0584 0.2500 0.1344
Ti 0.1449 0.7500 0.5171
Ti 0.1904 0.7500 0.7624
Ti 0.3096 0.2500 0.2624
Ti 0.3551 0.2500 0.0171
Ti 0.4416 0.7500 0.6344
Ti 0.5584 0.2500 0.3656
Ti 0.6449 0.7500 0.9829
Ti 0.6904 0.7500 0.7376
Ti 0.8096 0.2500 0.2376
Ti 0.8551 0.2500 0.4829
Ti 0.9416 0.7500 0.8656
Sb 0.0863 0.2500 0.3654
Sb 0.1175 0.2500 0.9078
Sb 0.2250 0.7500 0.1226
Sb 0.2750 0.2500 0.6226
Sb 0.3825 0.7500 0.4078
Sb 0.4137 0.7500 0.8654
Sb 0.5863 0.2500 0.1346
Sb 0.6175 0.2500 0.5922
Sb 0.7250 0.7500 0.3774
Sb 0.7750 0.2500 0.8774
Sb 0.8825 0.7500 0.0922
Sb 0.9137 0.7500 0.6346
Pd 0.0471 0.2500 0.6887
Pd 0.4529 0.7500 0.1887
Pd 0.5471 0.2500 0.8113
Pd 0.9529 0.7500 0.3113

***

2.
Structure and simulated powder diffractogram of SmTmMg5 (a structure optimized by DFT (PBE); Cu Kα X-rays).
Kinematic intensities with the Lorentz-polarization factor, no thermal factor.

Main lines, sorted by position (10 to 90 degrees two-theta):
| two_theta | I/Imax |
| --- | --- |
| 18.2 | 49 |
| 19.1 | 100 |
| 25.8 | 67 |
| 32.3 | 49 |
| 33.9 | 33 |
| 34.1 | 64 |
| 35.5 | 53 |
| 36.8 | 37 |

Structure:
Lattice parameters (Å, degrees): 6.2952 9.7593 6.6401 90.00 110.16 90.00
Positions (direct):
Sm 0.0000 0.0000 0.0000
Sm 0.5000 0.5000 0.0000
Tm 0.0000 0.5000 0.5000
Tm 0.5000 0.0000 0.5000
Mg 0.0000 0.0000 0.5000
Mg 0.2033 0.2873 0.2290
Mg 0.2033 0.7127 0.2290
Mg 0.2967 0.2127 0.7710
Mg 0.2967 0.7873 0.7710
Mg 0.5000 0.5000 0.5000
Mg 0.7033 0.2127 0.2290
Mg 0.7033 0.7873 0.2290
Mg 0.7967 0.2873 0.7710
Mg 0.7967 0.7127 0.7710

***

3.
Structure and simulated powder diffractogram of Ca6P7 (a structure optimized by DFT (PBE); Cu Kα X-rays).
Kinematic intensities with the Lorentz-polarization factor, no thermal factor.

Main lines, sorted by position (10 to 90 degrees two-theta):
| two_theta | I/Imax |
| --- | --- |
| 14.6 | 38 |
| 25.2 | 70 |
| 30.8 | 70 |
| 32.1 | 86 |
| 39.3 | 44 |
| 41.3 | 100 |
| 42.4 | 65 |
| 46.4 | 39 |

Structure:
Lattice parameters (Å, degrees): 12.5378 12.5378 12.5378 25.68 25.68 25.68
Positions (direct):
Ca 0.0820 0.0820 0.0820
Ca 0.2017 0.2017 0.2017
Ca 0.3281 0.3281 0.3281
Ca 0.6719 0.6719 0.6719
Ca 0.7983 0.7983 0.7983
Ca 0.9180 0.9180 0.9180
P 0.1097 0.5430 0.5430
P 0.4570 0.4570 0.8903
P 0.4570 0.8903 0.4570
P 0.5000 0.5000 0.5000
P 0.5430 0.1097 0.5430
P 0.5430 0.5430 0.1097
P 0.8903 0.4570 0.4570

***

4.
Structure and simulated powder diffractogram of CaSe2Cl (a structure optimized by DFT (PBE); Cu Kα X-rays).
Kinematic intensities with the Lorentz-polarization factor, no thermal factor.

Main lines, sorted by position (10 to 90 degrees two-theta):
| two_theta | I/Imax |
| --- | --- |
| 15.1 | 22 |
| 30.5 | 38 |
| 35.6 | 100 |
| 45.8 | 12 |
| 46.0 | 12 |
| 56.0 | 13 |
| 56.2 | 12 |
| 57.6 | 23 |

Structure:
Lattice parameters (Å, degrees): 3.9498 3.9646 11.7122 90.00 90.00 90.00
Positions (direct):
Ca 0.0000 0.0000 0.0000
Ca 0.5000 0.5000 0.5000
Se 0.0000 0.5000 0.2504
Se 0.0000 0.5000 0.7496
Se 0.5000 0.0000 0.2496
Se 0.5000 0.0000 0.7504
Cl 0.0000 0.0000 0.5000
Cl 0.5000 0.5000 0.0000